# 1
Simulated powder X-ray diffraction pattern
Compound: TeO2
Radiation: Cu Kα (weighted mean of Kα1 and Kα2)
Structure: a GGA-PBE-relaxed structure

Lattice parameters (Å, degrees): 4.967 4.967 7.623 90.00 90.00 90.00
Positions (direct):
Te: 0.031 0.031 0.000
Te: 0.469 0.531 0.250
Te: 0.531 0.469 0.750
Te: 0.969 0.969 0.500
O: 0.145 0.255 0.191
O: 0.245 0.645 0.441
O: 0.255 0.145 0.809
O: 0.355 0.755 0.059
O: 0.645 0.245 0.559
O: 0.745 0.855 0.309
O: 0.755 0.355 0.941
O: 0.855 0.745 0.691

Largest 10 diffraction maxima, by angle, 5° ≤ 2θ ≤ 70°:
3.512 Å, I = 80.0
3.190 Å, I = 12.8
3.024 Å, I = 100.0
2.484 Å, I = 19.6
1.919 Å, I = 58.8
1.756 Å, I = 9.9
1.675 Å, I = 23.3
1.571 Å, I = 11.2
1.519 Å, I = 11.8
1.512 Å, I = 12.1

=====

# 2
Simulated powder X-ray diffraction pattern
Compound: HfZn2
Radiation: Cu Kα (weighted mean of Kα1 and Kα2)
Structure: a GGA-PBE-relaxed structure

Lattice parameters (Å, degrees): 5.201 5.201 5.201 60.00 60.00 60.00
Positions (direct):
Hf: 0.125 0.125 0.125
Hf: 0.875 0.875 0.875
Zn: 0.000 0.500 0.500
Zn: 0.500 0.000 0.500
Zn: 0.500 0.500 0.000
Zn: 0.500 0.500 0.500

Largest 7 diffraction maxima, by angle, 5° ≤ 2θ ≤ 70°:
4.247 Å, I = 12.8
2.601 Å, I = 63.3
2.218 Å, I = 100.0
2.123 Å, I = 15.5
1.688 Å, I = 3.4
1.501 Å, I = 23.9
1.416 Å, I = 31.3

=====

# 3
Simulated powder X-ray diffraction pattern
Compound: UNCl
Radiation: Cu Kα (weighted mean of Kα1 and Kα2)
Structure: a GGA-PBE-relaxed structure

Lattice parameters (Å, degrees): 3.870 3.870 7.147 90.00 90.00 90.00
Positions (direct):
U: 0.250 0.250 0.162
U: 0.750 0.750 0.838
N: 0.250 0.750 0.000
N: 0.750 0.250 0.000
Cl: 0.250 0.250 0.628
Cl: 0.750 0.750 0.372

Largest 10 diffraction maxima, by angle, 5° ≤ 2θ ≤ 70°:
7.147 Å, I = 54.3
3.403 Å, I = 94.0
2.737 Å, I = 60.8
2.625 Å, I = 100.0
2.173 Å, I = 13.7
1.935 Å, I = 27.1
1.797 Å, I = 26.6
1.682 Å, I = 27.6
1.622 Å, I = 14.3
1.558 Å, I = 41.1